# La4Nd9Zn11
Computed powder XRD pattern, Cu Kα (λ = 1.5418 Å). Input: DFT lattice parameters and positions (PBE).

Principal peaks in the range 2θ = 5–70°, low angle first:
2θ/deg	Rel. int.	h k l
24.7	27	0 0 1
32.5	30	1 5 1
33.4	100	4 6 0
33.8	90	4 0 1
34.8	96	0 6 1
35.2	26	5 5 0
38.3	24	5 1 1
60.4	28	5 11 1
62.0	33	4 6 2
63.1	35	9 5 1

Structural model:
abc: 15.6085 22.1679 3.6089
angles: 90.00 90.00 90.00
Space group Cmmm (No. 65)
Inequivalent atoms, fractional coordinates:
La: 0.1591 0.0886 0.0000 (multiplicity 8)
Nd: 0.0000 0.0000 0.0000 (multiplicity 2)
Nd: 0.1144 0.4090 0.0000 (multiplicity 8)
Nd: 0.1175 0.2370 0.0000 (multiplicity 8)
Zn: 0.0000 0.1384 0.5000 (multiplicity 4)
Zn: 0.0000 0.3243 0.5000 (multiplicity 4)
Zn: 0.0000 0.5000 0.5000 (multiplicity 2)
Zn: 0.2197 0.5000 0.5000 (multiplicity 4)
Zn: 0.2319 0.3191 0.5000 (multiplicity 8)